Starting from a DFT-relaxed cell (PBE, Alexandria), the powder XRD pattern of TcAgCl2 was calculated for Cu Kα.

Most intense lines, 10° ≤ 2θ ≤ 90°, by angle:
hkl 0 2 0, 33.3 deg, rel. 43
hkl 0 2 1, 34.6 deg, rel. 14
hkl 1 1 1, 35.0 deg, rel. 14
hkl 0 0 4, 37.5 deg, rel. 20
hkl 1 1 2, 38.7 deg, rel. 100
hkl 1 1 3, 44.3 deg, rel. 28
hkl 0 2 4, 51.0 deg, rel. 16
hkl 1 3 2, 63.1 deg, rel. 22
hkl 1 1 6, 68.4 deg, rel. 10
hkl 2 2 0, 70.8 deg, rel. 10

Atomic structure:
```
data_TcAgCl2
_chemical_formula_sum 'Tc2 Ag2 Cl4'
_cell_length_a 3.0631
_cell_length_b 5.3822
_cell_length_c 9.6023
_cell_angle_alpha 90.00
_cell_angle_beta 90.00
_cell_angle_gamma 90.00
_symmetry_space_group_name_H-M 'C m m 2'
_symmetry_Int_Tables_number 35
_symmetry_space_group_name_Hall 'C 2 -2'
loop_
_atom_site_label
_atom_site_type_symbol
_atom_site_fract_x
_atom_site_fract_y
_atom_site_fract_z
Tc1 Tc 0.0000 0.0000 0.0000
Ag1 Ag 0.0000 0.5000 0.7560
Cl1 Cl 0.0000 0.0000 0.5406
Cl2 Cl 0.0000 0.5000 0.1874
```